(1)
DyLuPbC: theoretical PXRD pattern (Cu Ka), based on a structure optimized by DFT (GGA-PBE).
Peak positions follow from Bragg's law for the DFT cell and can differ from measured ones.

Structural model:
a b c (Å): 3.5945 3.5945 15.9002
angles (deg): 90.00 90.00 120.00
Space group P6_3mc (No. 186)
One atom of each set of equivalent atoms:
Dy: 0.3333 0.6667 0.0000 [2 per cell]
Lu: 0.3333 0.6667 0.3359 [2 per cell]
Pb: 0.3333 0.6667 0.6700 [2 per cell]
C: 0.0000 0.0000 0.4157 [2 per cell]

Largest 6 diffraction maxima, most intense first, 10° ≤ 2θ ≤ 90°:
hkl, 2theta, I/Imax
1 0 3, 33.38, 100
1 0 0, 28.68, 23
1 1 6, 62.44, 22
1 1 0, 50.80, 21
0 0 6, 33.82, 21
1 0 9, 60.23, 19


(2)
Dy3LuC2S2: theoretical PXRD pattern (Cu Ka), based on a structure optimized by DFT (GGA-PBE).
Peak positions follow from Bragg's law for the DFT cell and can differ from measured ones.

Structural model:
a b c (Å): 3.6811 3.6811 12.8187
angles (deg): 90.00 90.00 120.00
Space group P3m1 (No. 156)
One atom of each set of equivalent atoms:
Dy: 0.0000 0.0000 0.0000 [1 per cell]
Dy: 0.0000 0.0000 0.2946 [1 per cell]
Dy: 0.3333 0.6667 0.7893 [1 per cell]
Lu: 0.3333 0.6667 0.4994 [1 per cell]
C: 0.6667 0.3333 0.3991 [1 per cell]
C: 0.6667 0.3333 0.8940 [1 per cell]
S: 0.0000 0.0000 0.6404 [1 per cell]
S: 0.3333 0.6667 0.1465 [1 per cell]

Largest 6 diffraction maxima, most intense first, 10° ≤ 2θ ≤ 90°:
hkl, 2theta, I/Imax
0 1 3, 35.12, 100
0 1 1, 28.86, 40
1 0 0, 27.99, 31
1 1 0, 49.52, 30
1 1 4, 57.78, 21
0 0 4, 27.84, 20


(3)
Dy3LuC2Se2: theoretical PXRD pattern (Cu Ka), based on a structure optimized by DFT (GGA-PBE).
Peak positions follow from Bragg's law for the DFT cell and can differ from measured ones.

Structural model:
a b c (Å): 3.7364 3.7364 13.1954
angles (deg): 90.00 90.00 120.00
Space group P3m1 (No. 156)
One atom of each set of equivalent atoms:
Dy: 0.0000 0.0000 0.0000 [1 per cell]
Dy: 0.0000 0.0000 0.3025 [1 per cell]
Dy: 0.6667 0.3333 0.7974 [1 per cell]
Lu: 0.6667 0.3333 0.4994 [1 per cell]
C: 0.3333 0.6667 0.4028 [1 per cell]
C: 0.3333 0.6667 0.8982 [1 per cell]
Se: 0.0000 0.0000 0.6450 [1 per cell]
Se: 0.6667 0.3333 0.1508 [1 per cell]

Largest 6 diffraction maxima, most intense first, 10° ≤ 2θ ≤ 90°:
hkl, 2theta, I/Imax
1 0 3, 34.41, 100
1 0 0, 27.57, 29
1 1 0, 48.74, 28
0 2 3, 61.02, 19
2 1 3, 81.73, 17
1 1 6, 65.56, 15


(4)
DyLuTeC: theoretical PXRD pattern (Cu Ka), based on a structure optimized by DFT (GGA-PBE).
Peak positions follow from Bragg's law for the DFT cell and can differ from measured ones.

Structural model:
a b c (Å): 3.7880 3.7880 13.8580
angles (deg): 90.00 90.00 120.00
Space group P6_3mc (No. 186)
One atom of each set of equivalent atoms:
Dy: 0.3333 0.6667 0.0000 [2 per cell]
Lu: 0.3333 0.6667 0.3149 [2 per cell]
Te: 0.3333 0.6667 0.6605 [2 per cell]
C: 0.0000 0.0000 0.4054 [2 per cell]

Largest 6 diffraction maxima, most intense first, 10° ≤ 2θ ≤ 90°:
hkl, 2theta, I/Imax
1 0 3, 33.50, 100
1 0 0, 27.18, 26
1 1 0, 48.04, 26
1 1 6, 63.52, 19
2 0 3, 59.83, 19
2 1 3, 80.15, 16


(5)
DyLu3Tl2C2: theoretical PXRD pattern (Cu Ka), based on a structure optimized by DFT (GGA-PBE).
Peak positions follow from Bragg's law for the DFT cell and can differ from measured ones.

Structural model:
a b c (Å): 3.5491 3.5491 15.9959
angles (deg): 90.00 90.00 120.00
Space group P3m1 (No. 156)
One atom of each set of equivalent atoms:
Dy: 0.0000 0.0000 0.0000 [1 per cell]
Lu: 0.0000 0.0000 0.3374 [1 per cell]
Lu: 0.3333 0.6667 0.4998 [1 per cell]
Lu: 0.3333 0.6667 0.8333 [1 per cell]
Tl: 0.0000 0.0000 0.6673 [1 per cell]
Tl: 0.3333 0.6667 0.1707 [1 per cell]
C: 0.6667 0.3333 0.4185 [1 per cell]
C: 0.6667 0.3333 0.9152 [1 per cell]

Largest 6 diffraction maxima, most intense first, 10° ≤ 2θ ≤ 90°:
hkl, 2theta, I/Imax
0 0 6, 33.65, 100
1 1 6, 62.93, 32
1 0 0, 29.05, 18
0 1 9, 60.15, 18
1 1 0, 51.50, 17
1 0 6, 45.01, 13


(6)
NdDyMo2C3: theoretical PXRD pattern (Cu Ka), based on a structure optimized by DFT (GGA-PBE).
Peak positions follow from Bragg's law for the DFT cell and can differ from measured ones.

Structural model:
a b c (Å): 11.3822 3.4361 5.7931
angles (deg): 90.00 106.63 90.00
Space group Cm (No. 8)
One atom of each set of equivalent atoms:
Nd: 0.0000 0.0000 0.0000 [2 per cell]
Dy: 0.2236 0.0000 0.6471 [2 per cell]
Mo: 0.2623 0.5000 0.2074 [2 per cell]
Mo: 0.4587 0.0000 0.4460 [2 per cell]
C: 0.1127 0.5000 0.3362 [2 per cell]
C: 0.3340 0.0000 0.0883 [2 per cell]
C: 0.3816 0.5000 0.5598 [2 per cell]

Largest 6 diffraction maxima, most intense first, 10° ≤ 2θ ≤ 90°:
hkl, 2theta, I/Imax
1 1 1, 32.89, 100
3 1 -1, 36.44, 60
2 0 -2, 31.72, 34
2 0 2, 40.47, 17
4 0 -1, 32.20, 14
0 2 0, 53.33, 12


(7)
TbDySi2Mo2C: theoretical PXRD pattern (Cu Ka), based on a structure optimized by DFT (GGA-PBE).
Peak positions follow from Bragg's law for the DFT cell and can differ from measured ones.

Structural model:
a b c (Å): 11.1507 3.8179 7.1591
angles (deg): 90.00 125.68 90.00
Space group Cm (No. 8)
One atom of each set of equivalent atoms:
Tb: 0.0000 0.0000 0.0000 [2 per cell]
Dy: 0.3501 0.5000 0.4076 [2 per cell]
Si: 0.0564 0.5000 0.3685 [2 per cell]
Si: 0.2934 0.0000 0.0390 [2 per cell]
Mo: 0.1308 0.5000 0.7872 [2 per cell]
Mo: 0.2188 0.0000 0.6194 [2 per cell]
C: 0.4246 0.0000 0.7027 [2 per cell]

Largest 6 diffraction maxima, most intense first, 10° ≤ 2θ ≤ 90°:
hkl, 2theta, I/Imax
1 1 -2, 35.31, 100
3 1 -1, 33.71, 89
2 0 1, 31.32, 45
0 2 0, 47.63, 40
4 0 -1, 33.04, 32
4 0 -3, 39.85, 30


(8)
DyTmNi2C2N2: theoretical PXRD pattern (Cu Ka), based on a structure optimized by DFT (GGA-PBE).
Peak positions follow from Bragg's law for the DFT cell and can differ from measured ones.

Structural model:
a b c (Å): 3.4328 3.4328 7.2907
angles (deg): 90.00 90.00 90.00
Space group P4mm (No. 99)
One atom of each set of equivalent atoms:
Dy: 0.0000 0.0000 0.0000 [1 per cell]
Tm: 0.5000 0.5000 0.3439 [1 per cell]
Ni: 0.0000 0.5000 0.6716 [2 per cell]
C: 0.0000 0.0000 0.5121 [1 per cell]
C: 0.5000 0.5000 0.8359 [1 per cell]
N: 0.0000 0.0000 0.3193 [1 per cell]
N: 0.5000 0.5000 0.0290 [1 per cell]

Largest 6 diffraction maxima, most intense first, 10° ≤ 2θ ≤ 90°:
hkl, 2theta, I/Imax
1 0 1, 28.75, 100
0 0 3, 37.01, 70
1 0 2, 35.94, 64
1 1 1, 39.11, 61
1 1 2, 44.86, 52
2 0 0, 53.37, 48


(9)
Dy2SiCN2O4: theoretical PXRD pattern (Cu Ka), based on a structure optimized by DFT (GGA-PBE).
Peak positions follow from Bragg's law for the DFT cell and can differ from measured ones.

Structural model:
a b c (Å): 6.2660 6.4615 6.5050
angles (deg): 85.49 72.37 72.89
Space group P-1 (No. 2)
One atom of each set of equivalent atoms:
Dy: 0.0435 0.1752 0.2176 [2 per cell]
Dy: 0.4362 0.2633 0.6651 [2 per cell]
Si: 0.4600 0.7950 0.8164 [2 per cell]
C: 0.0647 0.6740 0.3079 [2 per cell]
N: 0.0280 0.4424 0.7525 [2 per cell]
N: 0.1475 0.7991 0.3726 [2 per cell]
O: 0.2142 0.9894 0.8893 [2 per cell]
O: 0.3532 0.1104 0.3789 [2 per cell]
O: 0.3893 0.6259 0.6921 [2 per cell]
O: 0.4002 0.2776 0.0082 [2 per cell]

Largest 6 diffraction maxima, most intense first, 10° ≤ 2θ ≤ 90°:
hkl, 2theta, I/Imax
1 1 1, 20.00, 100
1 1 -1, 25.60, 85
0 2 0, 28.92, 77
0 0 2, 28.80, 67
0 2 -1, 32.21, 63
2 0 0, 31.25, 62


(10)
DyTmCN2O2: theoretical PXRD pattern (Cu Ka), based on a structure optimized by DFT (GGA-PBE).
Peak positions follow from Bragg's law for the DFT cell and can differ from measured ones.

Structural model:
a b c (Å): 3.6701 3.6701 8.1008
angles (deg): 90.00 90.00 120.00
Space group P3m1 (No. 156)
One atom of each set of equivalent atoms:
Dy: 0.0000 0.0000 0.0000 [1 per cell]
Tm: 0.3333 0.6667 0.3532 [1 per cell]
C: 0.6667 0.3333 0.6759 [1 per cell]
N: 0.6667 0.3333 0.5235 [1 per cell]
N: 0.6667 0.3333 0.8285 [1 per cell]
O: 0.0000 0.0000 0.2832 [1 per cell]
O: 0.3333 0.6667 0.0773 [1 per cell]

Largest 6 diffraction maxima, most intense first, 10° ≤ 2θ ≤ 90°:
hkl, 2theta, I/Imax
0 1 1, 30.21, 100
0 0 1, 10.92, 53
1 0 2, 35.92, 45
1 1 0, 49.68, 28
0 1 4, 53.66, 25
1 1 3, 61.05, 20


(11)
DyP3C3: theoretical PXRD pattern (Cu Ka), based on a structure optimized by DFT (GGA-PBE).
Peak positions follow from Bragg's law for the DFT cell and can differ from measured ones.

Structural model:
a b c (Å): 3.4182 3.4182 16.2367
angles (deg): 90.00 90.00 120.00
Space group P6_3/mmc (No. 194)
One atom of each set of equivalent atoms:
Dy: 0.0000 0.0000 0.0000 [2 per cell]
P: 0.3333 0.6667 0.1213 [4 per cell]
P: 0.3333 0.6667 0.7500 [2 per cell]
C: 0.3333 0.6667 0.2500 [2 per cell]
C: 0.3333 0.6667 0.6286 [4 per cell]

Largest 6 diffraction maxima, most intense first, 10° ≤ 2θ ≤ 90°:
hkl, 2theta, I/Imax
1 0 2, 32.19, 100
0 0 2, 10.90, 82
1 0 4, 37.61, 66
1 0 6, 45.41, 40
1 1 0, 53.62, 27
1 1 8, 72.27, 22


(12)
DySc3Pb2C2: theoretical PXRD pattern (Cu Ka), based on a structure optimized by DFT (GGA-PBE).
Peak positions follow from Bragg's law for the DFT cell and can differ from measured ones.

Structural model:
a b c (Å): 3.4611 3.4611 15.4103
angles (deg): 90.00 90.00 120.00
Space group P3m1 (No. 156)
One atom of each set of equivalent atoms:
Dy: 0.0000 0.0000 0.0000 [1 per cell]
Sc: 0.0000 0.0000 0.3440 [1 per cell]
Sc: 0.3333 0.6667 0.4981 [1 per cell]
Sc: 0.3333 0.6667 0.8345 [1 per cell]
Pb: 0.0000 0.0000 0.6659 [1 per cell]
Pb: 0.3333 0.6667 0.1783 [1 per cell]
C: 0.6667 0.3333 0.4211 [1 per cell]
C: 0.6667 0.3333 0.9108 [1 per cell]

Largest 6 diffraction maxima, most intense first, 10° ≤ 2θ ≤ 90°:
hkl, 2theta, I/Imax
1 0 3, 34.65, 100
0 0 2, 11.48, 30
0 1 1, 30.38, 24
1 0 0, 29.81, 24
1 1 0, 52.91, 21
0 0 6, 34.93, 20